Record 1
Structure and computed powder X-ray diffraction pattern of Li9Co9O17 (the GGA+U geometry in the Materials Project; Cu Kα).
Neutral-atom scattering factors, no anomalous dispersion.

Crystal structure
```
35
Lattice="6.625 0.000 0.000 3.245 7.026 0.000 0.588 3.366 7.019" Properties=species:S:1:pos:R:3 pbc="T T T"
Li 0.000 0.000 0.000
Li 2.423 4.332 0.703
Li 1.814 1.562 1.494
Li 4.396 5.861 2.262
Li 3.753 3.109 3.035
Li 6.347 7.359 3.812
Li 5.718 4.706 4.458
Li 8.284 8.712 5.302
Li 7.635 6.143 6.137
Co 1.105 2.489 4.208
Co 3.702 6.751 4.996
Co 2.942 4.013 5.754
Co 5.688 8.285 6.567
Co 4.429 2.240 0.346
Co 7.012 6.429 1.131
Co 6.423 3.741 1.834
Co 9.023 7.984 2.651
Co 8.356 5.218 3.416
O 1.700 3.408 2.495
O 3.715 8.524 5.901
O 4.322 7.723 3.307
O 3.229 5.755 6.739
O 3.645 4.985 4.067
O 5.153 6.751 0.443
O 6.279 9.164 4.876
O 4.510 4.105 1.226
O 5.586 6.368 5.706
O 3.885 1.286 1.876
O 6.457 5.459 2.845
O 7.042 4.669 0.122
O 5.766 2.716 3.564
O 6.269 1.938 0.879
O 8.396 7.008 4.344
O 8.989 6.249 1.725
O 7.639 4.250 5.100
```

Largest 6 diffraction maxima, in order of falling intensity, 15 to 90 degrees two-theta:
- 2θ = 18.28°, I = 1000
- 2θ = 43.21°, I = 251
- 2θ = 43.35°, I = 250
- 2θ = 43.58°, I = 247
- 2θ = 62.76°, I = 204
- 2θ = 35.67°, I = 150

Record 2
Structure and computed powder X-ray diffraction pattern of Ta2CrNO5 (the GGA+U geometry in the Materials Project; Cu Kα).
Neutral-atom scattering factors, no anomalous dispersion.

Crystal structure
```
18
Lattice="9.213 0.000 0.000 0.000 3.366 3.383 0.000 -3.366 3.383" Properties=species:S:1:pos:R:3 pbc="T T T"
Ta 1.555 0.000 0.000
Ta 3.007 0.000 3.509
Ta 6.205 0.000 3.509
Ta 7.658 0.000 0.000
Cr 0.000 0.000 3.489
Cr 4.606 0.000 0.130
N 1.554 0.000 4.832
N 7.659 0.000 4.832
O 0.000 -2.072 3.525
O 0.000 2.072 3.525
O 1.585 0.000 2.161
O 3.065 -2.046 3.511
O 3.065 2.046 3.511
O 4.606 0.000 2.169
O 4.606 0.000 4.799
O 6.148 -2.046 3.511
O 6.148 2.046 3.511
O 7.628 0.000 2.161
```

Largest 6 diffraction maxima, in order of falling intensity, 15 to 90 degrees two-theta:
- 2θ = 34.74°, I = 1000
- 2θ = 26.35°, I = 648
- 2θ = 26.48°, I = 634
- 2θ = 52.27°, I = 412
- 2θ = 52.12°, I = 397
- 2θ = 20.96°, I = 330